Starting from a crystal structure in Alexandria, relaxed with GGA-PBE, the powder XRD pattern of Li4Cu10Ni was simulated for Cu Ka.
No peak broadening, texture or thermal motion is included.

Top 10 peaks for 10° ≤ 2θ ≤ 90°, in order of falling intensity:
2θ/deg	I_rel
16.15	100
38.33	69
44.53	59
43.01	54
21.81	53
55.33	31
49.84	23
56.03	22
27.71	19
35.17	18

Cell and atoms:
```
Li4Cu10Ni
1.0
-3.713 3.713 4.076
3.713 -3.713 4.076
3.713 3.713 -4.076
Li Cu Ni
4 10 1
Direct
0.071 0.702 0.772
0.298 0.071 0.369
0.702 0.929 0.631
0.929 0.298 0.228
0.109 0.209 0.666
0.209 0.543 0.100
0.250 0.750 0.500
0.443 0.109 0.900
0.457 0.557 0.666
0.543 0.443 0.334
0.557 0.891 0.100
0.750 0.250 0.500
0.791 0.457 0.900
0.891 0.791 0.334
0.500 0.500 0.000
```